Record 1
This entry pairs a crystal structure of MnH10S2N4O8 with its theoretical PXRD pattern. Radiation: Cu Kα (λ = 1.5418 Å). Structure: a cell relaxed with PBE+U.
Lines closer than 0.1° are merged.

Principal peaks in the range 5 to 70 degrees two-theta, sorted by position:
12.1°, rel. 64, (0 0 1)
18.8°, rel. 87, (0 1 -1)
22.5°, rel. 61, (-1 1 1)
23.3°, rel. 42, (1 0 1)
24.4°, rel. 100, (1 1 0)
27.9°, rel. 41, (0 1 -2)

a b c (Å): 5.4975 5.9221 7.5607
angles (deg): 91.83 104.49 98.17
Space group P-1 (No. 2)
One atom of each set of equivalent atoms:
Mn 0.0000 0.0000 0.0000 x1
H 0.0954 0.3108 0.7294 x2
H 0.0991 0.9170 0.3754 x2
H 0.2491 0.5536 0.1914 x2
H 0.2938 0.6049 0.4226 x2
H 0.4377 0.7963 0.3002 x2
S 0.3692 0.7578 0.7751 x2
N 0.0610 0.8048 0.2617 x2
N 0.2734 0.6784 0.2957 x2
O 0.1963 0.7433 0.9004 x2
O 0.2983 0.5465 0.6481 x2
O 0.3395 0.9625 0.6665 x2
O 0.3613 0.2328 0.1163 x2


Record 2
This entry pairs a crystal structure of NiPO4F with its theoretical PXRD pattern. Radiation: Cu Kα (λ = 1.5418 Å). Structure: a cell relaxed with PBE+U.
Lines closer than 0.1° are merged.

Principal peaks in the range 5 to 70 degrees two-theta, sorted by position:
17.9°, rel. 100, (1 0 0)
27.1°, rel. 52, (0 1 -2)
27.3°, rel. 45, (1 0 -2)
28.1°, rel. 67, (1 1 0)
36.9°, rel. 29, (1 -2 0)
44.2°, rel. 25, (2 1 0)

a b c (Å): 5.2888 5.3104 7.2439
angles (deg): 106.99 106.21 96.68
Space group P-1 (No. 2)
One atom of each set of equivalent atoms:
Ni 0.0000 0.0000 0.0000 x1
Ni 0.0000 0.0000 0.5000 x1
P 0.3259 0.6595 0.2603 x2
O 0.1289 0.6933 0.3864 x2
O 0.2718 0.3618 0.1277 x2
O 0.2847 0.8134 0.1071 x2
O 0.3866 0.2509 0.5888 x2
F 0.0998 0.9352 0.7468 x2